1.
Structure and theoretical PXRD pattern of Li2ZrP2O8 (DFT lattice parameters and positions (PBE); Cu Kα, 1.54184 Å).
No peak broadening, texture or thermal motion is included.

Crystal structure
Cell lengths 4.9349, 4.9349, 7.3503 Å; angles 90.00, 90.00, 120.00 degrees
Space group P-3 (No. 147)
Unique sites:
1 Li 0.3333 0.6667 0.1975 x2
2 Zr 0.0000 0.0000 0.5000 x1
3 P 0.3333 0.6667 0.7494 x2
4 O 0.0435 0.6772 0.6687 x6
5 O 0.3333 0.6667 0.9503 x2

Main lines, low angle first (10 to 80 degrees two-theta):
two_theta  I (rel.)  (hkl)
12.04  59  0 0 1
24.09  100  0 1 1
32.12  38  0 1 2
36.41  23  1 1 0
42.53  14  1 0 3
44.17  26  2 0 1

2.
Structure and theoretical PXRD pattern of LiZr2P3O12 (DFT lattice parameters and positions (PBE); Cu Kα, 1.54184 Å).
No peak broadening, texture or thermal motion is included.

Crystal structure
Cell lengths 8.652, 8.741, 8.986 Å; angles 91.26, 118.58, 118.87 degrees
Space group P-1 (No. 2)
Unique sites:
1 Li 0.156 0.184 0.434 x2
2 Zr 0.287 0.647 0.421 x2
3 Zr 0.297 0.143 0.926 x2
4 P 0.213 0.746 0.757 x2
5 P 0.219 0.980 0.255 x2
6 P 0.488 0.457 0.741 x2
7 O 0.004 0.904 0.233 x2
8 O 0.034 0.549 0.718 x2
9 O 0.136 0.876 0.741 x2
10 O 0.208 0.005 0.083 x2
11 O 0.275 0.751 0.622 x2
12 O 0.286 0.846 0.307 x2
13 O 0.320 0.522 0.248 x2
14 O 0.338 0.462 0.559 x2
15 O 0.345 0.260 0.738 x2
16 O 0.373 0.169 0.407 x2
17 O 0.406 0.812 0.949 x2
18 O 0.432 0.392 0.101 x2

Main lines, low angle first (10 to 80 degrees two-theta):
two_theta  I (rel.)  (hkl)
19.75  100  1 0 -2
20.33  26  1 -2 0
23.39  23  1 1 -2
23.70  24  -1 2 1
28.18  27  0 2 -2
31.40  24  1 1 1

3.
Structure and theoretical PXRD pattern of LiPaO3 (DFT lattice parameters and positions (PBE); Cu Kα, 1.54184 Å).
No peak broadening, texture or thermal motion is included.

Crystal structure
Cell lengths 5.5101, 5.5101, 15.1756 Å; angles 90.00, 90.00, 120.00 degrees
Space group R-3c (No. 167, hexagonal axes)
Unique sites:
1 Li 0.0000 0.0000 0.2500 x6
2 Pa 0.0000 0.0000 0.0000 x6
3 O 0.0000 0.3466 0.2500 x18

Main lines, low angle first (10 to 80 degrees two-theta):
two_theta  I (rel.)  (hkl)
22.00  100  0 1 2
30.09  49  1 0 4
32.50  32  1 1 0
39.60  21  2 0 2
48.88  30  1 1 6
52.12  20  1 2 2

4.
Structure and theoretical PXRD pattern of Li7PaO6 (DFT lattice parameters and positions (PBE); Cu Kα, 1.54184 Å).
No peak broadening, texture or thermal motion is included.

Crystal structure
Cell lengths 5.6457, 5.6457, 15.7254 Å; angles 90.00, 90.00, 120.00 degrees
Space group R3 (No. 146, hexagonal axes)
Unique sites:
1 Li 0.0000 0.0000 0.0000 x3
2 Li 0.0527 0.7142 0.8616 x9
3 Li 0.0589 0.3785 0.1040 x9
4 Pa 0.0000 0.0000 0.6486 x3
5 O 0.0046 0.6324 0.4016 x9
6 O 0.0135 0.3084 0.5616 x9

Main lines, low angle first (10 to 80 degrees two-theta):
two_theta  I (rel.)  (hkl)
16.91  34  0 0 3
19.01  100  1 0 1
21.40  77  0 1 2
29.15  33  1 0 4
36.14  50  1 1 3
47.33  28  1 1 6

5.
Structure and theoretical PXRD pattern of Li8Pa4O11 (DFT lattice parameters and positions (PBE); Cu Kα, 1.54184 Å).
No peak broadening, texture or thermal motion is included.

Crystal structure
Cell lengths 5.291, 5.548, 10.513 Å; angles 83.25, 82.68, 72.19 degrees
Space group P1 (No. 1)
Unique sites:
1 Li 0.000 0.000 0.000 x1
2 Li 0.003 0.737 0.510 x1
3 Li 0.030 0.475 0.009 x1
4 Li 0.298 0.483 0.686 x1
5 Li 0.507 0.978 0.558 x1
6 Li 0.516 0.247 0.036 x1
7 Li 0.523 0.457 0.474 x1
8 Li 0.716 0.996 0.331 x1
9 Pa 0.091 0.295 0.331 x1
10 Pa 0.422 0.743 0.180 x1
11 Pa 0.600 0.739 0.837 x1
12 Pa 0.915 0.193 0.681 x1
13 O 0.017 0.777 0.735 x1
14 O 0.020 0.713 0.283 x1
15 O 0.170 0.160 0.123 x1
16 O 0.190 0.372 0.524 x1
17 O 0.301 0.642 0.999 x1
18 O 0.466 0.127 0.734 x1
19 O 0.548 0.335 0.258 x1
20 O 0.614 0.587 0.636 x1
21 O 0.717 0.846 0.020 x1
22 O 0.820 0.109 0.483 x1
23 O 0.849 0.323 0.889 x1

Main lines, low angle first (10 to 80 degrees two-theta):
two_theta  I (rel.)  (hkl)
17.07  50  0 0 2
18.25  52  0 1 1
18.89  100  1 0 1
20.54  53  1 1 0
27.97  44  1 -1 0
29.67  44  0 1 3

6.
Structure and theoretical PXRD pattern of Li4PaTlO6 (DFT lattice parameters and positions (PBE); Cu Kα, 1.54184 Å).
No peak broadening, texture or thermal motion is included.

Crystal structure
Cell lengths 5.501, 9.629, 5.354 Å; angles 90.00, 108.91, 90.00 degrees
Space group C2 (No. 5)
Unique sites:
1 Li 0.000 0.000 0.000 x2
2 Li 0.000 0.132 0.500 x2
3 Li 0.000 0.519 0.500 x2
4 Li 0.000 0.848 0.500 x2
5 Pa 0.000 0.335 0.000 x2
6 Tl 0.000 0.669 0.000 x2
7 O 0.239 0.170 0.255 x4
8 O 0.249 0.844 0.244 x4
9 O 0.250 0.497 0.253 x4

Main lines, low angle first (10 to 80 degrees two-theta):
two_theta  I (rel.)  (hkl)
17.51  100  0 0 1
19.39  39  1 1 0
22.15  29  1 1 -1
32.78  44  1 3 0
34.52  40  2 0 0
40.08  44  1 3 1

7.
Structure and theoretical PXRD pattern of Li4YPaO6 (DFT lattice parameters and positions (PBE); Cu Kα, 1.54184 Å).
No peak broadening, texture or thermal motion is included.

Crystal structure
Cell lengths 5.634, 9.785, 5.302 Å; angles 90.00, 110.17, 90.00 degrees
Space group C2 (No. 5)
Unique sites:
1 Li 0.000 0.000 0.000 x2
2 Li 0.000 0.135 0.500 x2
3 Li 0.000 0.509 0.500 x2
4 Li 0.000 0.859 0.500 x2
5 Y 0.000 0.669 0.000 x2
6 Pa 0.000 0.333 0.000 x2
7 O 0.241 0.498 0.251 x4
8 O 0.243 0.171 0.243 x4
9 O 0.249 0.337 0.764 x4

Main lines, low angle first (10 to 80 degrees two-theta):
two_theta  I (rel.)  (hkl)
17.82  100  0 0 1
18.13  36  0 2 0
19.08  64  1 1 0
21.84  48  1 1 -1
32.24  45  1 3 0
39.95  51  1 3 1

8.
Structure and theoretical PXRD pattern of Li5PdO4 (DFT lattice parameters and positions (PBE); Cu Kα, 1.54184 Å).
No peak broadening, texture or thermal motion is included.

Crystal structure
Cell lengths 4.992, 3.272, 5.327 Å; angles 90.00, 91.99, 90.00 degrees
Space group P2/m (No. 10)
Unique sites:
1 Li 0.000 0.000 0.000 x1
2 Li 0.342 0.500 0.159 x2
3 Li 0.365 0.000 0.675 x2
4 Pd 0.000 0.500 0.500 x1
5 O 0.233 0.000 0.331 x2
6 O 0.251 0.500 0.817 x2

Main lines, low angle first (10 to 80 degrees two-theta):
two_theta  I (rel.)  (hkl)
16.65  100  0 0 1
17.78  85  1 0 0
24.02  43  1 0 -1
24.88  38  1 0 1
32.73  34  1 1 0
36.64  66  1 1 -1

9.
Structure and theoretical PXRD pattern of LiPd2O4 (DFT lattice parameters and positions (PBE); Cu Kα, 1.54184 Å).
No peak broadening, texture or thermal motion is included.

Crystal structure
Cell lengths 8.615, 8.615, 8.615 Å; angles 90.00, 90.00, 90.00 degrees
Space group Fd-3m (No. 227, origin choice 2)
Unique sites:
1 Li 0.125 0.125 0.125 x8
2 Pd 0.000 0.000 0.500 x16
3 O 0.011 0.011 0.739 x32

Main lines, low angle first (10 to 80 degrees two-theta):
two_theta  I (rel.)  (hkl)
17.83  100  1 1 1
34.53  55  3 1 1
36.12  31  2 2 2
41.95  49  4 0 0
55.42  21  5 1 1
60.83  32  4 4 0